(1)
Theoretical PXRD pattern of Y2Mo4O15 for Cu Ka, from a cell relaxed with PBE+U.
No peak broadening, texture or thermal motion is included.

Unit cell a=6.9318 b=9.7365 c=10.8116 alpha=90.00 beta=104.98 gamma=90.00
Sites, in units of the cell vectors:
Y: 0.2066 0.0234 0.2752
Y: 0.2066 0.4766 0.7752
Y: 0.7934 0.5234 0.2248
Y: 0.7934 0.9766 0.7248
Mo: 0.0804 0.7434 0.0096
Mo: 0.0804 0.7566 0.5096
Mo: 0.3837 0.0944 0.8439
Mo: 0.3837 0.4056 0.3439
Mo: 0.6163 0.5944 0.6561
Mo: 0.6163 0.9056 0.1561
Mo: 0.9196 0.2434 0.4904
Mo: 0.9196 0.2566 0.9904
O: 0.0277 0.1274 0.3999
O: 0.0277 0.3726 0.8999
O: 0.1151 0.1645 0.0999
O: 0.1151 0.3355 0.5999
O: 0.1270 0.0521 0.8147
O: 0.1270 0.4479 0.3147
O: 0.2183 0.6511 0.9176
O: 0.2183 0.8489 0.4176
O: 0.2425 0.6363 0.6168
O: 0.2425 0.8637 0.1168
O: 0.3856 0.2236 0.3487
O: 0.3856 0.2764 0.8487
O: 0.4558 0.0271 0.7096
O: 0.4558 0.4729 0.2096
O: 0.5000 0.0000 0.0000
O: 0.5000 0.5000 0.5000
O: 0.5442 0.5271 0.7904
O: 0.5442 0.9729 0.2904
O: 0.6144 0.7236 0.1513
O: 0.6144 0.7764 0.6513
O: 0.7575 0.1363 0.8832
O: 0.7575 0.3637 0.3832
O: 0.7817 0.1511 0.5824
O: 0.7817 0.3489 0.0824
O: 0.8730 0.5521 0.6853
O: 0.8730 0.9479 0.1853
O: 0.8849 0.6645 0.4001
O: 0.8849 0.8355 0.9001
O: 0.9723 0.6274 0.1001
O: 0.9723 0.8726 0.6001

Principal peaks in the range 2θ = 15–90°, by angle:
| d [Å] | Position (°2θ) | I/Imax |
| --- | --- | --- |
| 4.602 | 19.29 | 31 |
| 4.499 | 19.73 | 33 |
| 4.274 | 20.78 | 52 |
| 3.682 | 24.17 | 46 |
| 3.561 | 25.01 | 100 |
| 3.402 | 26.19 | 50 |
| 3.222 | 27.68 | 36 |
| 2.678 | 33.46 | 30 |

(2)
Theoretical PXRD pattern of Y4Mo6O19 for Cu Ka, from a cell relaxed with PBE+U.
No peak broadening, texture or thermal motion is included.

Unit cell a=7.8638 b=7.8638 c=7.8638 alpha=109.47 beta=109.47 gamma=109.47
Sites, in units of the cell vectors:
Y: 0.0000 0.0000 0.7097
Y: 0.0000 0.7097 0.0000
Y: 0.2903 0.2903 0.2903
Y: 0.7097 0.0000 0.0000
Mo: 0.1412 0.6412 0.5000
Mo: 0.3588 0.5000 0.8588
Mo: 0.5000 0.1412 0.6412
Mo: 0.5000 0.8588 0.3588
Mo: 0.6412 0.5000 0.1412
Mo: 0.8588 0.3588 0.5000
O: 0.0000 0.0000 0.0000
O: 0.0000 0.3193 0.3193
O: 0.0000 0.6807 0.6807
O: 0.0464 0.2901 0.6701
O: 0.2436 0.9536 0.6236
O: 0.2901 0.6701 0.0464
O: 0.3193 0.0000 0.3193
O: 0.3193 0.3193 0.0000
O: 0.3299 0.6200 0.3764
O: 0.3764 0.3299 0.6200
O: 0.3800 0.7099 0.7564
O: 0.6200 0.3764 0.3299
O: 0.6236 0.2436 0.9536
O: 0.6701 0.0464 0.2901
O: 0.6807 0.0000 0.6807
O: 0.6807 0.6807 0.0000
O: 0.7099 0.7564 0.3800
O: 0.7564 0.3800 0.7099
O: 0.9536 0.6236 0.2436

Principal peaks in the range 2θ = 15–90°, by angle:
| d [Å] | Position (°2θ) | I/Imax |
| --- | --- | --- |
| 4.540 | 19.55 | 35 |
| 3.707 | 24.01 | 52 |
| 2.871 | 31.15 | 100 |
| 2.621 | 34.21 | 19 |
| 2.427 | 37.04 | 53 |
| 1.781 | 51.30 | 74 |
| 1.658 | 55.42 | 26 |
| 1.513 | 61.25 | 31 |